Structure and calculated X-ray diffraction stick pattern of Ti2Be15Co2 (a DFT-relaxed cell (GGA-PBE, Alexandria); Cu Kα).

Cell and atoms:
abc: 5.5973 5.5973 5.5973
angles: 83.32 83.32 83.32
Fractional positions:
Ti1 0.1627 0.1627 0.1627
Ti2 0.8373 0.8373 0.8373
Be1 0.0000 0.5000 0.5000
Be2 0.1547 0.1547 0.6567
Be3 0.1547 0.6567 0.1547
Be4 0.2114 0.5000 0.7886
Be5 0.2114 0.7886 0.5000
Be6 0.3433 0.8453 0.8453
Be7 0.5000 0.0000 0.5000
Be8 0.5000 0.2114 0.7886
Be9 0.5000 0.5000 0.0000
Be10 0.5000 0.7886 0.2114
Be11 0.6566 0.1547 0.1547
Be12 0.7886 0.2114 0.5000
Be13 0.7886 0.5000 0.2114
Be14 0.8453 0.3434 0.8453
Be15 0.8453 0.8453 0.3433
Co1 0.3945 0.3945 0.3945
Co2 0.6055 0.6055 0.6055

Most intense lines, 10 to 90 degrees two-theta, in order of rising 2θ:
Position (°2θ)	Rel. int.
16.0	23.3
23.9	100.0
36.2	24.6
42.1	33.9
43.8	18.9
44.4	12.3
49.0	26.7
50.5	20.5
51.0	11.5
57.1	12.6



Structure and calculated X-ray diffraction stick pattern of InGa2I4 (a DFT-relaxed cell (GGA-PBE, Alexandria); Cu Kα).

Cell and atoms:
abc: 7.4843 7.4843 7.4843
angles: 105.04 105.04 118.75
Fractional positions:
In1 0.0000 0.0000 0.0000
Ga1 0.2500 0.7500 0.5000
Ga2 0.7500 0.2500 0.5000
I1 0.1913 0.3293 0.5206
I2 0.3293 0.8087 0.1380
I3 0.6707 0.1913 0.8620
I4 0.8087 0.6707 0.4794

Most intense lines, 10 to 90 degrees two-theta, in order of rising 2θ:
Position (°2θ)	Rel. int.
23.3	22.6
24.8	100.0
27.7	28.5
30.6	25.1
39.2	45.2
41.9	24.3
42.1	9.5
42.6	31.0
55.1	14.4
64.5	19.3



Structure and calculated X-ray diffraction stick pattern of Rb2BaTiS4 (a DFT-relaxed cell (GGA-PBE, Alexandria); Cu Kα).

Cell and atoms:
abc: 8.9638 9.6263 6.6147
angles: 90.00 90.00 90.00
Fractional positions:
Rb1 0.2142 0.1423 0.0000
Rb2 0.2858 0.8577 0.5000
Rb3 0.7142 0.8577 0.5000
Rb4 0.7858 0.1423 0.0000
Ba1 0.0000 0.3982 0.4876
Ba2 0.5000 0.6018 0.9876
Ti1 0.0000 0.6823 0.9258
Ti2 0.5000 0.3177 0.4258
S1 0.0000 0.4472 0.9935
S2 0.0000 0.6963 0.5879
S3 0.2175 0.7951 0.0151
S4 0.2825 0.2049 0.5151
S5 0.5000 0.3037 0.0879
S6 0.5000 0.5528 0.4935
S7 0.7175 0.2049 0.5151
S8 0.7825 0.7951 0.0151

Most intense lines, 10 to 90 degrees two-theta, in order of rising 2θ:
Position (°2θ)	Rel. int.
19.1	28.2
21.9	100.0
22.9	69.8
25.7	35.5
27.0	73.3
29.6	25.2
32.9	24.8
34.4	36.5
35.0	51.8
37.0	26.6



Structure and calculated X-ray diffraction stick pattern of HoNp2PaAs4 (a DFT-relaxed cell (GGA-PBE, Alexandria); Cu Kα).

Cell and atoms:
abc: 7.0832 4.0994 7.1300
angles: 90.00 109.52 90.00
Fractional positions:
Ho1 0.0000 0.0000 0.0000
Np1 0.5000 0.0000 0.5000
Np2 0.5000 0.5000 0.0000
Pa1 0.0000 0.5000 0.5000
As1 0.2477 0.0000 0.7500
As2 0.2494 0.5000 0.2509
As3 0.7506 0.5000 0.7491
As4 0.7523 0.0000 0.2500

Most intense lines, 10 to 90 degrees two-theta, in order of rising 2θ:
Position (°2θ)	Rel. int.
26.6	30.8
26.7	10.2
30.8	100.0
44.0	25.4
44.2	50.1
54.8	13.4
64.2	12.5
72.8	11.7
73.0	11.6
73.1	11.5